The following is a calculated powder X-ray diffraction pattern of Rb2LiNb2Te2O12. It was derived from a structure optimized by DFT (GGA-PBE), using λ = 1.5418 Å (Cu Kα).
Kinematic intensities with the Lorentz-polarization factor, no thermal factor.

Structural model:
Lattice parameters (Å, degrees): 12.818 7.404 7.552 90.00 124.75 90.00
Space group C2/m (No. 12)
One atom of each set of equivalent atoms:
Rb  0.168  0.000  0.001 x4
Li  0.000  0.000  0.500 x2
Nb  0.000  0.500  0.000 x2
Nb  0.000  0.500  0.500 x2
Te  0.250  0.250  0.500 x4
O  0.061  0.500  0.808 x4
O  0.124  0.297  0.568 x8
O  0.126  0.306  0.190 x8
O  0.175  0.000  0.424 x4

The 10 most intense peaks (2θ = 5–70°), sorted by position:
2θ = 14.61°, d = 6.063 Å, intensity 66.9, (2 0 -1); 2θ = 28.05°, d = 3.181 Å, intensity 100.0, (0 2 1); 2θ = 28.13°, d = 3.172 Å, intensity 43.9, (3 1 0); 2θ = 28.25°, d = 3.159 Å, intensity 54.2, (2 2 -1); 2θ = 28.77°, d = 3.103 Å, intensity 53.5, (0 0 2); 2θ = 29.47°, d = 3.031 Å, intensity 53.2, (4 0 -2); 2θ = 44.81°, d = 2.023 Å, intensity 19.0, (6 0 -3); 2θ = 44.90°, d = 2.019 Å, intensity 23.7, (3 3 0); 2θ = 49.24°, d = 1.851 Å, intensity 47.1, (0 4 0); 2θ = 50.51°, d = 1.807 Å, intensity 19.7, (0 2 3)

The following is a calculated powder X-ray diffraction pattern of SrLiH6Rh. It was derived from a structure optimized by DFT (GGA-PBE), using λ = 1.5418 Å (Cu Kα).
Kinematic intensities with the Lorentz-polarization factor, no thermal factor.

Structural model:
Lattice parameters (Å, degrees): 4.8504 4.8504 4.7944 90.00 90.00 120.00
Space group P312 (No. 149)
One atom of each set of equivalent atoms:
Sr  0.0000  0.0000  0.0000 x1
Li  0.3333  0.6667  0.5000 x1
H  0.4123  0.0431  0.7061 x6
Rh  0.6667  0.3333  0.5000 x1

The 10 most intense peaks (2θ = 5–70°), sorted by position:
2θ = 21.15°, d = 4.201 Å, intensity 31.9, (1 0 0); 2θ = 28.25°, d = 3.159 Å, intensity 100.0, (1 0 1); 2θ = 37.07°, d = 2.425 Å, intensity 32.3, (1 1 0); 2θ = 37.52°, d = 2.397 Å, intensity 10.0, (0 0 2); 2θ = 43.47°, d = 2.082 Å, intensity 9.2, (1 0 2); 2θ = 47.25°, d = 1.924 Å, intensity 23.4, (2 0 1); 2θ = 53.77°, d = 1.705 Å, intensity 22.9, (2 -1 2); 2θ = 61.53°, d = 1.507 Å, intensity 21.2, (3 -1 1); 2θ = 62.15°, d = 1.494 Å, intensity 10.2, (1 0 3); 2θ = 66.81°, d = 1.400 Å, intensity 5.9, (3 0 0)

The following is a calculated powder X-ray diffraction pattern of Pm7InC2. It was derived from a structure optimized by DFT (GGA-PBE), using λ = 1.5418 Å (Cu Kα).
Kinematic intensities with the Lorentz-polarization factor, no thermal factor.

Structural model:
Lattice parameters (Å, degrees): 4.6360 4.6360 42.0482 90.00 90.00 120.00
Space group R-3m (No. 166, hexagonal axes)
One atom of each set of equivalent atoms:
Pm  0.0000  0.0000  0.0000 x3
Pm  0.0000  0.0000  0.1285 x6
Pm  0.0000  0.0000  0.2897 x6
Pm  0.0000  0.0000  0.4152 x6
In  0.0000  0.0000  0.5000 x3
C  0.0000  0.0000  0.0651 x6

The 10 most intense peaks (2θ = 5–70°), sorted by position:
2θ = 26.71°, d = 3.338 Å, intensity 100.0, (1 0 7); 2θ = 30.79°, d = 2.904 Å, intensity 39.9, (1 0 10); 2θ = 32.34°, d = 2.768 Å, intensity 14.6, (0 1 11); 2θ = 37.39°, d = 2.405 Å, intensity 39.3, (0 1 14); 2θ = 38.85°, d = 2.318 Å, intensity 83.1, (1 1 0); 2θ = 42.95°, d = 2.106 Å, intensity 22.5, (0 1 17); 2θ = 47.77°, d = 1.904 Å, intensity 20.9, (0 2 7); 2θ = 55.02°, d = 1.669 Å, intensity 12.7, (2 0 14); 2θ = 63.20°, d = 1.471 Å, intensity 18.3, (2 1 7); 2θ = 66.95°, d = 1.398 Å, intensity 28.1, (1 1 24)

The following is a calculated powder X-ray diffraction pattern of KRbSnHg2. It was derived from a structure optimized by DFT (GGA-PBE), using λ = 1.5418 Å (Cu Kα).
Kinematic intensities with the Lorentz-polarization factor, no thermal factor.

Structural model:
Lattice parameters (Å, degrees): 5.926 5.926 6.493 90.00 90.00 90.00
Space group P4/mmm (No. 123)
One atom of each set of equivalent atoms:
K  0.000  0.000  0.000 x1
Rb  0.500  0.500  0.000 x1
Sn  0.000  0.000  0.500 x1
Hg  0.000  0.500  0.500 x2

The 10 most intense peaks (2θ = 5–70°), sorted by position:
2θ = 13.64°, d = 6.493 Å, intensity 91.3, (0 0 1); 2θ = 20.29°, d = 4.377 Å, intensity 28.2, (1 0 1); 2θ = 25.30°, d = 3.521 Å, intensity 100.0, (1 1 1); 2θ = 27.47°, d = 3.247 Å, intensity 51.9, (0 0 2); 2θ = 30.16°, d = 2.963 Å, intensity 81.9, (2 0 0); 2θ = 33.24°, d = 2.696 Å, intensity 46.9, (2 0 1); 2θ = 41.25°, d = 2.189 Å, intensity 70.5, (2 0 2); 2θ = 43.18°, d = 2.095 Å, intensity 31.0, (2 2 0); 2θ = 50.70°, d = 1.800 Å, intensity 30.0, (3 1 1); 2θ = 51.94°, d = 1.760 Å, intensity 36.1, (2 2 2)

The following is a calculated powder X-ray diffraction pattern of Tb3Si8Rh3. It was derived from a structure optimized by DFT (GGA-PBE), using λ = 1.5418 Å (Cu Kα).
Kinematic intensities with the Lorentz-polarization factor, no thermal factor.

Structural model:
Lattice parameters (Å, degrees): 14.894 4.148 8.660 90.00 119.03 90.00
Space group C2/m (No. 12)
One atom of each set of equivalent atoms:
Tb  0.000  0.000  0.000 x2
Tb  0.203  0.500  0.649 x4
Si  0.017  0.500  0.711 x4
Si  0.112  0.000  0.375 x4
Si  0.136  0.000  0.841 x4
Si  0.136  0.500  0.249 x4
Rh  0.000  0.000  0.500 x2
Rh  0.178  0.500  0.012 x4

The 10 most intense peaks (2θ = 5–70°), sorted by position:
2θ = 29.79°, d = 2.999 Å, intensity 100.0, (3 1 0); 2θ = 31.22°, d = 2.865 Å, intensity 71.5, (3 1 -2); 2θ = 35.15°, d = 2.553 Å, intensity 72.6, (1 1 2); 2θ = 35.57°, d = 2.524 Å, intensity 26.2, (0 0 3); 2θ = 36.38°, d = 2.470 Å, intensity 45.1, (6 0 -2); 2θ = 38.13°, d = 2.360 Å, intensity 28.5, (3 1 -3); 2θ = 41.87°, d = 2.157 Å, intensity 24.1, (5 1 -3); 2θ = 43.64°, d = 2.074 Å, intensity 45.6, (0 2 0); 2θ = 48.89°, d = 1.863 Å, intensity 23.5, (6 0 1); 2θ = 58.07°, d = 1.588 Å, intensity 23.2, (6 2 -2)

The following is a calculated powder X-ray diffraction pattern of TbAg2SbS4. It was derived from a structure optimized by DFT (GGA-PBE), using λ = 1.5418 Å (Cu Kα).
Kinematic intensities with the Lorentz-polarization factor, no thermal factor.

Structural model:
Lattice parameters (Å, degrees): 6.664 3.999 6.985 90.00 111.32 90.00
Space group P2/m (No. 10)
One atom of each set of equivalent atoms:
Tb  0.000  0.000  0.000 x1
Ag  0.500  0.000  0.500 x1
Ag  0.500  0.500  0.000 x1
Sb  0.000  0.500  0.500 x1
S  0.241  0.500  0.252 x2
S  0.247  0.000  0.753 x2

The 10 most intense peaks (2θ = 5–70°), sorted by position:
2θ = 27.38°, d = 3.258 Å, intensity 76.2, (0 0 2); 2θ = 28.76°, d = 3.104 Å, intensity 22.5, (2 0 0); 2θ = 31.80°, d = 2.814 Å, intensity 52.0, (2 0 -2); 2θ = 32.29°, d = 2.772 Å, intensity 100.0, (1 1 1); 2θ = 45.06°, d = 2.012 Å, intensity 38.1, (1 1 -3); 2θ = 45.35°, d = 2.000 Å, intensity 18.7, (0 2 0); 2θ = 46.83°, d = 1.940 Å, intensity 33.9, (3 1 -1); 2θ = 47.26°, d = 1.923 Å, intensity 17.0, (2 0 2); 2θ = 54.64°, d = 1.680 Å, intensity 15.5, (2 2 0); 2θ = 56.45°, d = 1.630 Å, intensity 19.0, (2 2 -2)